# Zr4GeSbC2
Simulated XRD peak list, Cu Kα, 1.54184 Å. Input: a structure optimized by DFT (PBE).
Lines closer than 0.1° are merged.

Cell and atoms:
Cell lengths 3.3877, 3.3877, 14.0005 Å; angles 90.00, 90.00, 120.00 degrees
Space group P-6m2 (No. 187)
Inequivalent atoms, fractional coordinates:
Zr (0.0000, 0.0000, 0.1539) x2
Zr (0.6667, 0.3333, 0.3341) x2
Ge (0.6667, 0.3333, 0.0000) x1
Sb (0.0000, 0.0000, 0.5000) x1
C (0.3333, 0.6667, 0.2440) x2

Largest 10 diffraction maxima, by angle, 2θ = 10–90°:
hkl  2theta  Rel. int.
1 0 0  30.47  23.5
1 0 2  33.11  2.9
1 0 3  36.16  100.0
0 0 6  38.58  16.2
1 0 6  49.94  14.0
1 1 0  54.15  21.9
2 0 3  66.86  15.9
1 0 9  68.24  12.8
1 1 6  68.44  17.5
2 0 6  76.74  3.7

# TaGe2C
Simulated XRD peak list, Cu Kα, 1.54184 Å. Input: a structure optimized by DFT (PBE).
Lines closer than 0.1° are merged.

Cell and atoms:
Cell lengths 3.0196, 3.0196, 14.0434 Å; angles 90.00, 90.00, 120.00 degrees
Space group P6_3/mmc (No. 194)
Inequivalent atoms, fractional coordinates:
Ta (0.3333, 0.6667, 0.2500) x2
Ge (0.3333, 0.6667, 0.5905) x4
C (0.0000, 0.0000, 0.0000) x2

Largest 10 diffraction maxima, by angle, 2θ = 10–90°:
hkl  2theta  Rel. int.
0 0 2  12.61  32.2
1 0 0  34.29  21.6
1 0 1  34.90  12.2
0 0 6  38.46  21.8
1 0 3  39.47  100.0
1 0 6  52.47  15.8
1 1 0  61.41  19.2
1 0 9  70.25  17.0
1 1 6  74.84  18.8
2 0 3  75.49  14.8

# Zr4Ge3W2C3
Simulated XRD peak list, Cu Kα, 1.54184 Å. Input: a structure optimized by DFT (PBE).
Lines closer than 0.1° are merged.

Cell and atoms:
Cell lengths 9.809, 5.698, 13.594 Å; angles 90.00, 104.01, 90.00 degrees
Space group C2/c (No. 15)
Inequivalent atoms, fractional coordinates:
Zr (0.116, 0.078, 0.099) x8
Zr (0.214, 0.086, 0.401) x8
Ge (0.000, 0.138, 0.750) x4
Ge (0.143, 0.440, 0.249) x8
W (0.061, 0.412, 0.920) x8
C (0.081, 0.257, 0.500) x8
C (0.250, 0.250, 0.000) x4

Largest 10 diffraction maxima, by angle, 2θ = 10–90°:
hkl  2theta  Rel. int.
1 1 0  18.15  13.0
3 1 -1  31.55  25.8
0 2 3  37.62  52.1
3 1 -4  37.75  100.0
0 0 6  41.06  24.9
3 1 -7  52.62  14.4
3 3 -1  55.99  21.1
6 2 -5  69.68  14.9
3 3 -7  71.74  15.6
0 2 9  72.56  11.8

# Y4Zr2Ge3C3
Simulated XRD peak list, Cu Kα, 1.54184 Å. Input: a structure optimized by DFT (PBE).
Lines closer than 0.1° are merged.

Cell and atoms:
Cell lengths 10.546, 6.093, 14.845 Å; angles 90.00, 104.09, 90.00 degrees
Space group C2/c (No. 15)
Inequivalent atoms, fractional coordinates:
Y (0.117, 0.078, 0.100) x8
Y (0.213, 0.087, 0.400) x8
Zr (0.060, 0.414, 0.921) x8
Ge (0.000, 0.159, 0.750) x4
Ge (0.129, 0.453, 0.249) x8
C (0.079, 0.264, 0.500) x8
C (0.250, 0.250, 0.000) x4

Largest 10 diffraction maxima, by angle, 2θ = 10–90°:
hkl  2theta  Rel. int.
3 1 -1  29.33  35.8
3 1 0  29.99  7.3
0 2 3  34.84  100.0
3 1 2  34.99  48.2
0 0 6  37.48  25.3
3 3 -1  52.01  27.8
6 2 -5  64.10  12.7
6 0 -8  65.69  9.6
3 3 5  65.96  10.7
6 0 4  66.13  7.2

# K2HgH4PtC6N6O2
Simulated XRD peak list, Cu Kα, 1.54184 Å. Input: a structure optimized by DFT (PBE).
Lines closer than 0.1° are merged.

Cell and atoms:
Cell lengths 9.900, 6.494, 11.288 Å; angles 90.00, 114.44, 90.00 degrees
Space group P2_1/c (No. 14)
Inequivalent atoms, fractional coordinates:
K (0.073, 0.238, 0.129) x4
Hg (0.500, 0.000, 0.500) x2
H (0.094, 0.734, 0.177) x4
H (0.222, 0.648, 0.660) x4
Pt (0.500, 0.000, 0.000) x2
C (0.283, 0.029, 0.469) x4
C (0.286, 0.529, 0.387) x4
C (0.445, 0.019, 0.150) x4
N (0.157, 0.048, 0.447) x4
N (0.159, 0.550, 0.321) x4
N (0.403, 0.031, 0.233) x4
O (0.114, 0.668, 0.619) x4

Largest 10 diffraction maxima, by angle, 2θ = 10–90°:
hkl  2theta  Rel. int.
1 0 -2  15.93  100.0
0 0 2  17.26  94.2
2 0 0  19.70  79.8
2 0 -2  20.13  77.0
1 0 2  23.20  46.7
0 2 0  27.48  52.0
1 2 0  29.23  97.6
1 2 -2  31.91  62.5
1 0 -4  32.03  41.9
0 2 2  32.62  43.3

# HgH6C4N4O2
Simulated XRD peak list, Cu Kα, 1.54184 Å. Input: a structure optimized by DFT (PBE).
Lines closer than 0.1° are merged.

Cell and atoms:
Cell lengths 5.025, 10.427, 7.069 Å; angles 90.00, 116.83, 90.00 degrees
Space group P2_1/c (No. 14)
Inequivalent atoms, fractional coordinates:
Hg (0.000, 0.000, 0.000) x2
H (0.129, 0.057, 0.654) x4
H (0.254, 0.630, 0.034) x4
H (0.418, 0.243, 0.970) x4
C (0.226, 0.215, 0.333) x4
C (0.412, 0.569, 0.163) x4
N (0.298, 0.112, 0.249) x4
N (0.351, 0.034, 0.734) x4
O (0.031, 0.742, 0.735) x4

Largest 10 diffraction maxima, by angle, 2θ = 10–90°:
hkl  2theta  Rel. int.
0 1 1  16.42  100.0
0 2 0  17.01  53.1
1 0 0  19.80  37.9
1 1 -1  20.28  80.4
1 0 -2  26.21  41.1
0 3 1  29.34  33.8
1 1 1  30.44  35.7
1 2 -2  31.40  57.5
0 2 2  33.20  25.0
1 3 1  39.22  36.3